[1]
Diffraction record for PbAu2NO. The XRD peak list is calculated, not measured: it uses a structure optimized by DFT (GGA-PBE) and Cu Kα (weighted mean of Kα1 and Kα2).
Lines closer than 0.1° are merged.

Crystal structure
a b c (Å): 4.171 4.171 5.431
angles (deg): 90.00 90.00 90.00
Space group P4/mmm (No. 123)
One atom of each set of equivalent atoms:
Pb: 0.000 0.000 0.000
Au: 0.000 0.500 0.500
N: 0.500 0.500 0.000
O: 0.500 0.500 0.500

The 12 most intense peaks (2θ from 10° to 80°), most intense first:
2theta  intensity
34.6  100.0
33.0  31.7
43.4  29.9
55.6  28.8
73.9  23.2
27.0  22.7
60.0  21.1
16.3  15.9
21.3  13.3
73.0  12.9
63.0  9.9
51.8  7.9



[2]
Diffraction record for PAuN. The XRD peak list is calculated, not measured: it uses a structure optimized by DFT (GGA-PBE) and Cu Kα (weighted mean of Kα1 and Kα2).
Lines closer than 0.1° are merged.

Crystal structure
a b c (Å): 2.929 4.792 7.051
angles (deg): 90.80 101.70 107.79
Space group P-1 (No. 2)
One atom of each set of equivalent atoms:
P: 0.156 0.266 0.046
Au: 0.299 0.207 0.396
N: 0.374 0.672 0.077

The 12 most intense peaks (2θ from 10° to 80°), most intense first:
2theta  intensity
12.9  100.0
32.6  66.8
24.3  59.7
43.8  39.9
31.3  31.6
33.9  30.5
39.6  24.9
42.7  20.3
37.2  19.5
37.4  19.4
43.1  18.9
40.8  15.0



[3]
Diffraction record for PAu2SeN. The XRD peak list is calculated, not measured: it uses a structure optimized by DFT (GGA-PBE) and Cu Kα (weighted mean of Kα1 and Kα2).
Lines closer than 0.1° are merged.

Crystal structure
a b c (Å): 4.709 4.709 5.142
angles (deg): 90.00 90.00 90.00
Space group P4/mmm (No. 123)
One atom of each set of equivalent atoms:
P: 0.000 0.000 0.000
Au: 0.000 0.500 0.000
Se: 0.000 0.000 0.500
N: 0.500 0.500 0.500

The 12 most intense peaks (2θ from 10° to 80°), most intense first:
2theta  intensity
32.0  100.0
17.2  56.8
38.2  39.9
52.7  31.4
26.8  26.7
65.2  26.2
34.9  25.6
42.2  25.3
60.8  16.2
67.0  15.3
44.5  14.9
55.2  13.7



[4]
Diffraction record for SrP2AuN. The XRD peak list is calculated, not measured: it uses a structure optimized by DFT (GGA-PBE) and Cu Kα (weighted mean of Kα1 and Kα2).
Lines closer than 0.1° are merged.

Crystal structure
a b c (Å): 4.630 4.630 6.416
angles (deg): 90.00 90.00 90.00
Space group P4/mmm (No. 123)
One atom of each set of equivalent atoms:
Sr: 0.000 0.000 0.000
P: 0.000 0.500 0.500
Au: 0.000 0.000 0.500
N: 0.500 0.500 0.000

The 12 most intense peaks (2θ from 10° to 80°), most intense first:
2theta  intensity
19.2  100.0
34.0  49.9
27.8  37.5
13.8  35.9
27.2  33.3
48.5  31.6
38.9  30.1
52.6  29.6
39.3  25.9
43.7  25.2
23.7  25.2
63.8  13.7